The following is a calculated powder XRD pattern of K2Ba2CoO4. It was derived from a GGA+U-relaxed structure, using Cu Kα X-rays.
Lines closer than 0.1° are merged.

Structure:
```
K2Ba2CoO4
1.0
-3.1187 3.1187 4.0351
3.1187 -3.1187 4.0351
3.1187 3.1187 -4.0351
K Ba Co O
2 2 1 4
direct
0.2500 0.7500 0.5000 K
0.7500 0.2500 0.5000 K
0.1846 0.1846 0.0000 Ba
0.8154 0.8154 0.0000 Ba
0.5000 0.5000 0.0000 Co
0.2753 0.2753 0.5506 O
0.2753 0.7247 0.0000 O
0.7247 0.2753 0.0000 O
0.7247 0.7247 0.4494 O
```

The 10 most intense peaks (10 to 80 degrees two-theta), sorted by position:
d [Å], intensity
4.410, 78
3.119, 65
2.469, 100
2.205, 45
1.972, 18
1.936, 56
1.645, 13
1.559, 14
1.455, 27
1.318, 24